Entry 1:
This entry pairs a crystal structure of BaMg3Zn with its computed X-ray diffraction stick pattern. Radiation: λ = 1.5418 Å (Cu Kα). Structure: a DFT-relaxed cell (GGA-PBE, Alexandria).
Kinematic intensities with the Lorentz-polarization factor, no thermal factor.

Atomic structure:
a b c (Å): 7.2284 7.2284 6.1870
angles (deg): 90.00 90.00 120.00
Space group P6_3/mmc (No. 194)
Symmetry-distinct sites (fractional):
1 Ba 0.3333 0.6667 0.2500 [2 per cell]
2 Mg 0.1829 0.3659 0.7500 [6 per cell]
3 Zn 0.0000 0.0000 0.0000 [2 per cell]

Main lines, low angle first (2θ = 10–90°):
| d (Å) | 2θ (°) | I/Imax |
| --- | --- | --- |
| 4.400 | 20.18 | 72 |
| 3.614 | 24.63 | 100 |
| 2.793 | 32.05 | 100 |
| 2.773 | 32.28 | 55 |
| 2.210 | 40.83 | 34 |
| 2.200 | 41.02 | 48 |
| 2.087 | 43.36 | 21 |
| 1.879 | 48.44 | 23 |
| 1.807 | 50.50 | 31 |
| 1.722 | 53.19 | 23 |

Entry 2:
This entry pairs a crystal structure of BaMn2 with its computed X-ray diffraction stick pattern. Radiation: λ = 1.5418 Å (Cu Kα). Structure: a DFT-relaxed cell (GGA-PBE, Alexandria).
Kinematic intensities with the Lorentz-polarization factor, no thermal factor.

Atomic structure:
a b c (Å): 7.2877 4.2069 11.3294
angles (deg): 90.00 102.19 90.00
Space group Cm (No. 8)
Symmetry-distinct sites (fractional):
1 Ba 0.0000 0.0000 0.0000 [2 per cell]
2 Ba 0.2069 0.0000 0.6330 [2 per cell]
3 Mn 0.1037 0.0000 0.3165 [2 per cell]
4 Mn 0.2704 0.5000 0.3167 [2 per cell]
5 Mn 0.4017 0.0000 0.2082 [2 per cell]
6 Mn 0.4721 0.0000 0.4240 [2 per cell]

Main lines, low angle first (2θ = 10–90°):
| d (Å) | 2θ (°) | I/Imax |
| --- | --- | --- |
| 3.691 | 24.11 | 66 |
| 3.622 | 24.58 | 66 |
| 3.337 | 26.72 | 89 |
| 3.195 | 27.93 | 90 |
| 2.739 | 32.70 | 37 |
| 2.455 | 36.60 | 73 |
| 2.323 | 38.76 | 23 |
| 2.104 | 43.00 | 100 |
| 1.829 | 49.87 | 35 |
| 1.825 | 49.96 | 18 |

Entry 3:
This entry pairs a crystal structure of BaMn2Mo with its computed X-ray diffraction stick pattern. Radiation: λ = 1.5418 Å (Cu Kα). Structure: a DFT-relaxed cell (GGA-PBE, Alexandria).
Kinematic intensities with the Lorentz-polarization factor, no thermal factor.

Atomic structure:
a b c (Å): 3.2335 3.2335 8.0134
angles (deg): 90.00 90.00 90.00
Space group P4/mmm (No. 123)
Symmetry-distinct sites (fractional):
1 Ba 0.0000 0.0000 0.0000 [1 per cell]
2 Mn 0.5000 0.5000 0.3374 [2 per cell]
3 Mo 0.0000 0.0000 0.5000 [1 per cell]

Main lines, low angle first (2θ = 10–90°):
| d (Å) | 2θ (°) | I/Imax |
| --- | --- | --- |
| 4.007 | 22.19 | 34 |
| 3.233 | 27.59 | 17 |
| 2.999 | 29.80 | 18 |
| 2.516 | 35.68 | 100 |
| 2.286 | 39.41 | 56 |
| 1.986 | 45.69 | 20 |
| 1.703 | 53.83 | 33 |
| 1.617 | 56.96 | 18 |
| 1.360 | 69.05 | 28 |
| 1.173 | 82.22 | 19 |

Entry 4:
This entry pairs a crystal structure of BaMnN2 with its computed X-ray diffraction stick pattern. Radiation: λ = 1.5418 Å (Cu Kα). Structure: a DFT-relaxed cell (GGA-PBE, Alexandria).
Kinematic intensities with the Lorentz-polarization factor, no thermal factor.

Atomic structure:
a b c (Å): 5.8323 11.4480 7.7897
angles (deg): 90.00 90.00 90.00
Space group Cmce (No. 64)
Symmetry-distinct sites (fractional):
1 Ba 0.0000 0.1558 0.0579 [8 per cell]
2 Mn 0.0000 0.0492 0.6337 [8 per cell]
3 N 0.0000 0.1112 0.4154 [8 per cell]
4 N 0.2500 0.0833 0.7500 [8 per cell]

Main lines, low angle first (2θ = 10–90°):
| d (Å) | 2θ (°) | I/Imax |
| --- | --- | --- |
| 3.895 | 22.83 | 19 |
| 3.117 | 28.64 | 41 |
| 2.955 | 30.25 | 100 |
| 2.916 | 30.66 | 46 |
| 2.686 | 33.35 | 14 |
| 2.365 | 38.05 | 18 |
| 2.334 | 38.57 | 17 |
| 2.323 | 38.77 | 16 |
| 1.691 | 54.25 | 19 |
| 1.543 | 59.95 | 15 |

Entry 5:
This entry pairs a crystal structure of Ba2MnN3 with its computed X-ray diffraction stick pattern. Radiation: λ = 1.5418 Å (Cu Kα). Structure: a DFT-relaxed cell (GGA-PBE, Alexandria).
Kinematic intensities with the Lorentz-polarization factor, no thermal factor.

Atomic structure:
a b c (Å): 5.8243 11.7316 12.8592
angles (deg): 90.00 90.00 90.00
Space group Cmce (No. 64)
Symmetry-distinct sites (fractional):
1 Ba 0.0000 0.0611 0.1415 [8 per cell]
2 Ba 0.0000 0.1426 0.5816 [8 per cell]
3 Mn 0.0000 0.2383 0.3317 [8 per cell]
4 N 0.0000 0.0921 0.3673 [8 per cell]
5 N 0.0000 0.1691 0.9391 [8 per cell]
6 N 0.2500 0.2384 0.7500 [8 per cell]

Main lines, low angle first (2θ = 10–90°):
| d (Å) | 2θ (°) | I/Imax |
| --- | --- | --- |
| 4.051 | 21.94 | 28 |
| 3.312 | 26.92 | 31 |
| 3.215 | 27.75 | 35 |
| 3.148 | 28.35 | 53 |
| 2.912 | 30.70 | 70 |
| 2.898 | 30.85 | 100 |
| 2.737 | 32.72 | 26 |
| 2.355 | 38.21 | 24 |
| 2.158 | 41.86 | 29 |
| 1.732 | 52.86 | 25 |

Entry 6:
This entry pairs a crystal structure of Ba3Mn3N5 with its computed X-ray diffraction stick pattern. Radiation: λ = 1.5418 Å (Cu Kα). Structure: a DFT-relaxed cell (GGA-PBE, Alexandria).
Kinematic intensities with the Lorentz-polarization factor, no thermal factor.

Atomic structure:
a b c (Å): 5.9246 7.9369 8.8017
angles (deg): 103.84 104.07 104.33
Space group P-1 (No. 2)
Symmetry-distinct sites (fractional):
1 Ba 0.1627 0.3622 0.3874 [2 per cell]
2 Ba 0.2121 0.2257 0.7392 [2 per cell]
3 Ba 0.2620 0.9297 0.1124 [2 per cell]
4 Mn 0.1756 0.4938 0.0944 [2 per cell]
5 Mn 0.3975 0.8378 0.4837 [2 per cell]
6 Mn 0.4108 0.6604 0.8231 [2 per cell]
7 N 0.1606 0.5722 0.9059 [2 per cell]
8 N 0.2610 0.2796 0.0718 [2 per cell]
9 N 0.2713 0.0213 0.4487 [2 per cell]
10 N 0.3204 0.6659 0.2938 [2 per cell]
11 N 0.3538 0.7293 0.6418 [2 per cell]

Main lines, low angle first (2θ = 10–90°):
| d (Å) | 2θ (°) | I/Imax |
| --- | --- | --- |
| 3.806 | 23.37 | 31 |
| 3.184 | 28.02 | 37 |
| 3.087 | 28.93 | 82 |
| 2.986 | 29.92 | 65 |
| 2.908 | 30.75 | 81 |
| 2.801 | 31.95 | 100 |
| 2.768 | 32.35 | 50 |
| 2.718 | 32.96 | 41 |
| 2.569 | 34.93 | 32 |
| 2.312 | 38.95 | 37 |

Entry 7:
This entry pairs a crystal structure of Ba3Mn2N4 with its computed X-ray diffraction stick pattern. Radiation: λ = 1.5418 Å (Cu Kα). Structure: a DFT-relaxed cell (GGA-PBE, Alexandria).
Kinematic intensities with the Lorentz-polarization factor, no thermal factor.

Atomic structure:
a b c (Å): 12.3517 8.9438 5.7098
angles (deg): 90.00 93.25 90.00
Space group C2/c (No. 15)
Symmetry-distinct sites (fractional):
1 Ba 0.0000 0.0956 0.2500 [4 per cell]
2 Ba 0.1282 0.3675 0.5575 [8 per cell]
3 Mn 0.2141 0.1246 0.9378 [8 per cell]
4 N 0.1425 0.3020 0.0349 [8 per cell]
5 N 0.1913 0.0375 0.6396 [8 per cell]

Main lines, low angle first (2θ = 10–90°):
| d (Å) | 2θ (°) | I/Imax |
| --- | --- | --- |
| 3.735 | 23.82 | 27 |
| 3.518 | 25.31 | 20 |
| 3.201 | 27.87 | 59 |
| 3.011 | 29.67 | 100 |
| 2.683 | 33.40 | 38 |
| 2.534 | 35.43 | 27 |
| 2.378 | 37.84 | 28 |
| 2.249 | 40.08 | 30 |
| 2.236 | 40.34 | 24 |
| 2.154 | 41.95 | 19 |

Please write out number 6 again, unchanged.
This entry pairs a crystal structure of Ba3Mn3N5 with its computed X-ray diffraction stick pattern. Radiation: λ = 1.5418 Å (Cu Kα). Structure: a DFT-relaxed cell (GGA-PBE, Alexandria).
Kinematic intensities with the Lorentz-polarization factor, no thermal factor.

Atomic structure:
a b c (Å): 5.9246 7.9369 8.8017
angles (deg): 103.84 104.07 104.33
Space group P-1 (No. 2)
Symmetry-distinct sites (fractional):
1 Ba 0.1627 0.3622 0.3874 [2 per cell]
2 Ba 0.2121 0.2257 0.7392 [2 per cell]
3 Ba 0.2620 0.9297 0.1124 [2 per cell]
4 Mn 0.1756 0.4938 0.0944 [2 per cell]
5 Mn 0.3975 0.8378 0.4837 [2 per cell]
6 Mn 0.4108 0.6604 0.8231 [2 per cell]
7 N 0.1606 0.5722 0.9059 [2 per cell]
8 N 0.2610 0.2796 0.0718 [2 per cell]
9 N 0.2713 0.0213 0.4487 [2 per cell]
10 N 0.3204 0.6659 0.2938 [2 per cell]
11 N 0.3538 0.7293 0.6418 [2 per cell]

Main lines, low angle first (2θ = 10–90°):
| d (Å) | 2θ (°) | I/Imax |
| --- | --- | --- |
| 3.806 | 23.37 | 31 |
| 3.184 | 28.02 | 37 |
| 3.087 | 28.93 | 82 |
| 2.986 | 29.92 | 65 |
| 2.908 | 30.75 | 81 |
| 2.801 | 31.95 | 100 |
| 2.768 | 32.35 | 50 |
| 2.718 | 32.96 | 41 |
| 2.569 | 34.93 | 32 |
| 2.312 | 38.95 | 37 |

Repeat the third record exactly.
This entry pairs a crystal structure of BaMn2Mo with its computed X-ray diffraction stick pattern. Radiation: λ = 1.5418 Å (Cu Kα). Structure: a DFT-relaxed cell (GGA-PBE, Alexandria).
Kinematic intensities with the Lorentz-polarization factor, no thermal factor.

Atomic structure:
a b c (Å): 3.2335 3.2335 8.0134
angles (deg): 90.00 90.00 90.00
Space group P4/mmm (No. 123)
Symmetry-distinct sites (fractional):
1 Ba 0.0000 0.0000 0.0000 [1 per cell]
2 Mn 0.5000 0.5000 0.3374 [2 per cell]
3 Mo 0.0000 0.0000 0.5000 [1 per cell]

Main lines, low angle first (2θ = 10–90°):
| d (Å) | 2θ (°) | I/Imax |
| --- | --- | --- |
| 4.007 | 22.19 | 34 |
| 3.233 | 27.59 | 17 |
| 2.999 | 29.80 | 18 |
| 2.516 | 35.68 | 100 |
| 2.286 | 39.41 | 56 |
| 1.986 | 45.69 | 20 |
| 1.703 | 53.83 | 33 |
| 1.617 | 56.96 | 18 |
| 1.360 | 69.05 | 28 |
| 1.173 | 82.22 | 19 |